Computed powder X-ray diffraction pattern
Compound: Tl2CoW3O12
Radiation: Cu Kα (λ = 1.5418 Å)
Structure: a crystal structure in Alexandria, relaxed with GGA+U
Peak positions follow from Bragg's law for the DFT cell and can differ from measured ones.

Cell and atoms:
```
Tl2CoW3O12
1.0
3.6720 2.1200 5.7455
-3.6720 2.1200 5.7455
0.0000 -4.2400 5.7455
Tl Co W O
2 1 3 12
Direct
0.1403 0.1403 0.1403
0.8597 0.8597 0.8597
0.5000 0.5000 0.5000
0.0000 0.5000 0.5000
0.5000 0.0000 0.5000
0.5000 0.5000 0.0000
0.1824 0.1824 0.5562
0.1824 0.5562 0.1824
0.1966 0.5588 0.5588
0.4412 0.4412 0.8034
0.4412 0.8034 0.4412
0.4438 0.8176 0.8176
0.5562 0.1824 0.1824
0.5588 0.1966 0.5588
0.5588 0.5588 0.1966
0.8034 0.4412 0.4412
0.8176 0.4438 0.8176
0.8176 0.8176 0.4438
```

Largest 10 diffraction maxima, by angle, 2θ from 10° to 80°:
- 2θ 24.96, 3.567 Å, intensity 40
- 2θ 28.54, 3.127 Å, intensity 76
- 2θ 28.86, 3.094 Å, intensity 100
- 2θ 29.95, 2.983 Å, intensity 36
- 2θ 31.13, 2.873 Å, intensity 25
- 2θ 45.61, 1.989 Å, intensity 31
- 2θ 46.65, 1.947 Å, intensity 25
- 2θ 49.66, 1.836 Å, intensity 35
- 2θ 51.21, 1.784 Å, intensity 26
- 2θ 59.78, 1.547 Å, intensity 24